# Ba2LiV2Si4O14
Simulated powder diffraction line list, Cu Kα, 1.54184 Å. Input: the GGA+U geometry in the Materials Project.
Neutral-atom scattering factors, no anomalous dispersion.

Crystal structure
a b c (Å): 7.329 8.501 8.501
angles (deg): 37.81 90.00 90.00
Sites, in units of the cell vectors:
Ba  0.000  0.000  0.000
Ba  0.500  0.366  0.366
Li  0.000  0.825  0.825
V  0.000  0.260  0.260
V  0.500  0.052  0.052
Si  0.230  0.558  0.558
Si  0.286  0.756  0.756
Si  0.714  0.756  0.756
Si  0.770  0.558  0.558
O  0.000  0.149  0.149
O  0.000  0.540  0.540
O  0.191  0.037  0.561
O  0.191  0.561  0.037
O  0.274  0.656  0.656
O  0.313  0.270  0.757
O  0.313  0.757  0.270
O  0.500  0.153  0.153
O  0.500  0.789  0.789
O  0.687  0.270  0.757
O  0.687  0.757  0.270
O  0.726  0.656  0.656
O  0.809  0.037  0.561
O  0.809  0.561  0.037

The 10 most intense peaks (2θ = 5–70°), in order of rising 2θ:
| 2θ (°) | Rel. int. |
| --- | --- |
| 20.91 | 529 |
| 22.11 | 492 |
| 23.15 | 450 |
| 25.26 | 540 |
| 26.19 | 597 |
| 29.80 | 1000 |
| 32.50 | 395 |
| 33.80 | 385 |
| 41.61 | 363 |
| 44.47 | 381 |